Structure and theoretical XRD peak list of Tm2Pu2Sc7 (a crystal structure in Alexandria, relaxed with PBE; Cu Kα (weighted mean of Kα1 and Kα2)).
Intensities are scaled so that the largest is 100.

Cell and atoms:
```
11
Lattice="3.056 -5.464 0.000 3.056 5.464 0.000 -1.615 0.000 8.522" Properties=species:S:1:pos:R:3 pbc="T T T"
Tm 0.217 0.000 1.881
Tm 4.280 0.000 6.641
Pu 2.248 2.987 4.261
Pu 2.248 -2.987 4.261
Sc 0.309 2.512 7.095
Sc 1.132 0.000 5.310
Sc 4.187 2.512 1.427
Sc 3.056 0.000 0.000
Sc 0.309 -2.512 7.095
Sc 3.364 0.000 3.212
Sc 4.187 -2.512 1.427
```

Top 6 peaks for 5 to 70 degrees two-theta, sorted by position:
2θ/deg  Rel. int.
10.4  81
19.3  62
26.5  72
32.8  56
34.0  100
37.4  45